For Rb2O, a crystal structure in the Materials Project, relaxed with GGA-PBE gives the theoretical powder X-ray diffraction pattern in this record (a wavelength of 1.5418 Å).
No peak broadening, texture or thermal motion is included.

Crystal structure
```
Rb2O
1.0
4.371 0.000 0.000
0.000 6.519 0.000
-4.156 0.000 6.516
Rb O
4 2
Direct
0.215 0.149 0.227 Rb
0.215 0.351 0.727 Rb
0.785 0.649 0.273 Rb
0.785 0.851 0.773 Rb
0.500 0.000 0.000 O
0.500 0.500 0.500 O
```

Top 10 peaks for 5° ≤ 2θ ≤ 70°, by intensity:
| hkl | 2theta | Rel. int. |
| --- | --- | --- |
| 0 2 1 | 30.67 | 100 |
| 1 1 0 | 27.81 | 85 |
| 1 1 -2 | 28.48 | 83 |
| 0 0 2 | 27.37 | 55 |
| 1 1 -1 | 24.53 | 45 |
| 1 3 -1 | 46.69 | 34 |
| 1 1 1 | 36.56 | 28 |
| 1 1 -3 | 37.60 | 27 |
| 2 0 -2 | 41.33 | 27 |
| 2 0 0 | 49.48 | 24 |